Diffraction record for Li7Co5O12. The powder diffraction line list is simulated, not measured: it uses the GGA+U geometry in Alexandria and Cu Kα X-rays.
No peak broadening, texture or thermal motion is included.

a = 4.915 Å, b = 5.055 Å, c = 8.612 Å
α = 73.20°, β = 89.81°, γ = 80.06°
Positions (direct):
Li 0.000 0.000 0.000
Li 0.238 0.498 0.918
Li 0.245 0.500 0.585
Li 0.250 0.507 0.243
Li 0.750 0.493 0.757
Li 0.755 0.500 0.415
Li 0.762 0.502 0.082
Co 0.001 0.001 0.329
Co 0.495 0.998 0.838
Co 0.500 0.000 0.500
Co 0.505 0.002 0.162
Co 0.999 0.999 0.671
O 0.125 0.219 0.464
O 0.144 0.225 0.139
O 0.145 0.219 0.786
O 0.366 0.774 0.714
O 0.370 0.776 0.360
O 0.398 0.779 0.035
O 0.602 0.221 0.965
O 0.630 0.224 0.640
O 0.634 0.226 0.286
O 0.855 0.781 0.214
O 0.856 0.775 0.861
O 0.875 0.781 0.536

Most intense lines, 5° ≤ 2θ ≤ 70°, by angle:
Position (°2θ)	d/Å	I (rel.)	h k l
10.74	8.234	8	0 0 1
18.64	4.761	100	0 1 0
36.69	2.449	12	1 1 3
36.85	2.439	12	1 0 -3
37.19	2.417	12	2 0 0
44.24	2.047	26	1 2 3
44.52	2.035	25	1 1 -3
45.00	2.015	25	2 -1 0
48.67	1.871	8	2 2 0
64.17	1.451	7	2 3 0